(1)
# VClO
Theoretical X-ray diffraction stick pattern, a wavelength of 1.5418 Å. Input: a crystal structure in Alexandria, relaxed with GGA+U.
Neutral-atom scattering factors, no anomalous dispersion.

The 10 most intense peaks (10° ≤ 2θ ≤ 90°), by angle:
10.3 deg, I = 100
25.3 deg, I = 47
33.7 deg, I = 38
36.9 deg, I = 11
41.2 deg, I = 20
47.2 deg, I = 10
47.8 deg, I = 16
55.9 deg, I = 8
59.3 deg, I = 12
64.4 deg, I = 7

Structural model:
```
data_VClO
_cell_length_a 3.375
_cell_length_b 3.852
_cell_length_c 8.629
_cell_angle_alpha 90.00
_cell_angle_beta 90.00
_cell_angle_gamma 90.00
_symmetry_space_group_name_H-M 'P m m n'
_symmetry_Int_Tables_number 59
loop_
_symmetry_equiv_pos_as_xyz
'x,y,z'
'-x,-y,-z'
'-x+1/2,-y+1/2,z'
'x+1/2,y+1/2,-z'
'x+1/2,-y,-z'
'-x+1/2,y,z'
'-x,y+1/2,-z'
'x,-y+1/2,z'
loop_
_atom_site_label
_atom_site_type_symbol
_atom_site_fract_x
_atom_site_fract_y
_atom_site_fract_z
V1 V 0.250 0.250 0.108
Cl1 Cl 0.250 0.750 0.693
O1 O 0.250 0.750 0.042
```

***

(2)
# WCl3O
Theoretical X-ray diffraction stick pattern, a wavelength of 1.5418 Å. Input: a crystal structure in Alexandria, relaxed with GGA+U.
Neutral-atom scattering factors, no anomalous dispersion.

The 10 most intense peaks (10° ≤ 2θ ≤ 90°), by angle:
10.4 deg, I = 100
16.4 deg, I = 75
24.4 deg, I = 57
25.5 deg, I = 17
29.6 deg, I = 33
38.0 deg, I = 21
38.7 deg, I = 18
44.4 deg, I = 29
53.7 deg, I = 18
54.3 deg, I = 16

Structural model:
```
data_WCl3O
_cell_length_a 12.059
_cell_length_b 12.059
_cell_length_c 3.828
_cell_angle_alpha 90.00
_cell_angle_beta 90.00
_cell_angle_gamma 90.00
_symmetry_space_group_name_H-M 'P 42/m n m'
_symmetry_Int_Tables_number 136
_symmetry_space_group_name_Hall '-P 4n 2n'
loop_
_atom_site_label
_atom_site_type_symbol
_atom_site_fract_x
_atom_site_fract_y
_atom_site_fract_z
W1 W 0.111 0.111 0.000
Cl1 Cl 0.099 0.901 0.000
Cl2 Cl 0.103 0.303 0.000
O1 O 0.101 0.101 0.500
```

***

(3)
# WCl2O2
Theoretical X-ray diffraction stick pattern, a wavelength of 1.5418 Å. Input: a crystal structure in Alexandria, relaxed with GGA+U.
Neutral-atom scattering factors, no anomalous dispersion.

The 10 most intense peaks (10° ≤ 2θ ≤ 90°), by angle:
10.6 deg, I = 100
21.2 deg, I = 11
23.0 deg, I = 27
23.1 deg, I = 27
25.3 deg, I = 18
25.4 deg, I = 18
32.1 deg, I = 11
32.8 deg, I = 16
39.8 deg, I = 18
49.5 deg, I = 11

Structural model:
```
data_WCl2O2
_cell_length_a 8.377
_cell_length_b 3.874
_cell_length_c 7.706
_cell_angle_alpha 90.00
_cell_angle_beta 90.00
_cell_angle_gamma 90.00
_symmetry_space_group_name_H-M 'P m c 21'
_symmetry_Int_Tables_number 26
_symmetry_space_group_name_Hall 'P 2c -2'
loop_
_atom_site_label
_atom_site_type_symbol
_atom_site_fract_x
_atom_site_fract_y
_atom_site_fract_z
W1 W 0.000 0.030 0.000
Cl1 Cl 0.277 0.009 0.515
O1 O 0.000 0.002 0.758
O2 O 0.000 0.495 0.509
```

***

(4)
# YbWClO4
Theoretical X-ray diffraction stick pattern, a wavelength of 1.5418 Å. Input: a crystal structure in Alexandria, relaxed with GGA+U.
Neutral-atom scattering factors, no anomalous dispersion.

The 10 most intense peaks (10° ≤ 2θ ≤ 90°), by angle:
13.0 deg, I = 34
15.4 deg, I = 34
17.3 deg, I = 50
24.2 deg, I = 100
24.6 deg, I = 47
26.1 deg, I = 40
26.9 deg, I = 37
27.2 deg, I = 35
28.7 deg, I = 31
43.0 deg, I = 29

Structural model:
```
data_YbWClO4
_cell_length_a 6.230
_cell_length_b 6.790
_cell_length_c 7.151
_cell_angle_alpha 73.98
_cell_angle_beta 77.90
_cell_angle_gamma 68.97
_symmetry_space_group_name_H-M 'P -1'
_symmetry_Int_Tables_number 2
_symmetry_space_group_name_Hall '-P 1'
loop_
_atom_site_label
_atom_site_type_symbol
_atom_site_fract_x
_atom_site_fract_y
_atom_site_fract_z
Yb1 Yb 0.234 0.280 0.149
W1 W 0.129 0.143 0.739
Cl1 Cl 0.490 0.479 0.814
O1 O 0.032 0.371 0.863
O2 O 0.061 0.021 0.192
O3 O 0.150 0.244 0.477
O4 O 0.416 0.984 0.805
```